Starting from a GGA-PBE-relaxed structure, the powder XRD pattern of Rb2PdAuO4 was calculated for copper Kα.
Peak positions follow from Bragg's law for the DFT cell and can differ from measured ones.

Cell: 12.1090 10.2993 7.6786 Å, 83.32 57.65 39.04°
Atoms (fractional coordinates):
Rb1 0.0458 0.0458 0.7042
Rb2 0.2958 0.2958 0.9542
Rb3 0.7042 0.7042 0.0458
Rb4 0.9542 0.9542 0.2958
Pd1 0.1250 0.1250 0.1250
Pd2 0.8750 0.8750 0.8750
Au1 0.3750 0.3750 0.3750
Au2 0.6250 0.6250 0.6250
O1 0.0295 0.7193 0.5334
O2 0.2178 0.5334 0.7193
O3 0.2807 0.9705 0.7822
O4 0.4666 0.7822 0.9705
O5 0.5334 0.2178 0.0295
O6 0.7193 0.0295 0.2178
O7 0.7822 0.4666 0.2807
O8 0.9705 0.2807 0.4666

Most intense lines, 2θ = 10–90°, by angle:
2θ (°)	I/Imax
15.45	1000
18.03	594
20.91	593
25.25	519
27.58	310
30.04	922
32.12	625
40.50	276
48.32	584
49.01	264